(1)
The following is a computed PXRD pattern of In2HgI2. It was derived from a structure optimized by DFT (GGA-PBE), using Cu Ka.
Kinematic intensities with the Lorentz-polarization factor, no thermal factor.

Principal peaks in the range 2θ = 10–90°, in order of falling intensity:
| Position (°2θ) | I/Imax |
| --- | --- |
| 26.19 | 100 |
| 29.99 | 68 |
| 40.23 | 57 |
| 27.52 | 53 |
| 37.93 | 46 |
| 26.93 | 41 |
| 22.86 | 37 |
| 30.21 | 34 |
| 40.41 | 32 |
| 15.02 | 22 |

Structural model:
abc: 10.347 6.804 11.833
angles: 90.00 90.00 90.00
Fractional positions:
In1 0.046 0.250 0.136
In2 0.123 0.250 0.606
In3 0.377 0.750 0.106
In4 0.454 0.750 0.636
In5 0.546 0.250 0.364
In6 0.623 0.250 0.894
In7 0.877 0.750 0.394
In8 0.954 0.750 0.864
Hg1 0.235 0.250 0.355
Hg2 0.265 0.750 0.855
Hg3 0.735 0.250 0.145
Hg4 0.765 0.750 0.645
I1 0.035 0.750 0.136
I2 0.148 0.750 0.552
I3 0.352 0.250 0.052
I4 0.465 0.250 0.636
I5 0.535 0.750 0.364
I6 0.648 0.750 0.948
I7 0.852 0.250 0.448
I8 0.965 0.250 0.864

=====

(2)
The following is a computed PXRD pattern of In8Hg15I6. It was derived from a structure optimized by DFT (GGA-PBE), using Cu Ka.
Kinematic intensities with the Lorentz-polarization factor, no thermal factor.

Principal peaks in the range 2θ = 10–90°, in order of falling intensity:
| Position (°2θ) | I/Imax |
| --- | --- |
| 29.13 | 100 |
| 32.94 | 67 |
| 30.34 | 30 |
| 39.87 | 28 |
| 31.22 | 25 |
| 37.36 | 18 |
| 12.34 | 15 |
| 25.76 | 15 |
| 26.11 | 14 |
| 30.24 | 13 |

Structural model:
abc: 9.044 11.367 12.038
angles: 110.65 90.03 113.40
Fractional positions:
In1 0.128 0.277 0.407
In2 0.353 0.725 0.595
In3 0.362 0.224 0.571
In4 0.366 0.231 0.053
In5 0.634 0.769 0.947
In6 0.638 0.776 0.429
In7 0.647 0.275 0.405
In8 0.872 0.723 0.593
Hg1 0.000 0.000 0.000
Hg2 0.000 0.000 0.500
Hg3 0.000 0.500 0.500
Hg4 0.122 0.747 0.354
Hg5 0.158 0.217 0.800
Hg6 0.212 0.926 0.776
Hg7 0.436 0.780 0.198
Hg8 0.500 0.000 0.000
Hg9 0.500 0.000 0.500
Hg10 0.500 0.500 0.000
Hg11 0.500 0.500 0.500
Hg12 0.564 0.220 0.802
Hg13 0.788 0.074 0.224
Hg14 0.842 0.783 0.200
Hg15 0.878 0.253 0.646
I1 0.208 0.421 0.223
I2 0.281 0.063 0.250
I3 0.287 0.579 0.777
I4 0.713 0.421 0.223
I5 0.719 0.937 0.750
I6 0.792 0.579 0.777

=====

(3)
The following is a computed PXRD pattern of In4HgI. It was derived from a structure optimized by DFT (GGA-PBE), using Cu Ka.
Kinematic intensities with the Lorentz-polarization factor, no thermal factor.

Principal peaks in the range 2θ = 10–90°, in order of falling intensity:
| Position (°2θ) | I/Imax |
| --- | --- |
| 32.64 | 100 |
| 27.73 | 37 |
| 52.25 | 35 |
| 34.14 | 30 |
| 57.28 | 28 |
| 81.21 | 22 |
| 49.05 | 16 |
| 67.51 | 12 |
| 68.40 | 11 |
| 78.71 | 8 |

Structural model:
abc: 6.433 6.433 6.433
angles: 60.00 60.00 60.00
Fractional positions:
In1 0.376 0.376 0.376
In2 0.376 0.376 0.872
In3 0.376 0.872 0.376
In4 0.872 0.376 0.376
Hg1 0.750 0.750 0.750
I1 0.000 0.000 0.000

=====

(4)
The following is a computed PXRD pattern of KIn2HgI6. It was derived from a structure optimized by DFT (GGA-PBE), using Cu Ka.
Kinematic intensities with the Lorentz-polarization factor, no thermal factor.

Principal peaks in the range 2θ = 10–90°, in order of falling intensity:
| Position (°2θ) | I/Imax |
| --- | --- |
| 24.25 | 100 |
| 37.50 | 51 |
| 40.81 | 33 |
| 19.50 | 26 |
| 12.87 | 25 |
| 22.70 | 24 |
| 31.38 | 23 |
| 29.10 | 21 |
| 22.59 | 20 |
| 44.28 | 20 |

Structural model:
abc: 8.306 8.308 9.186
angles: 116.86 90.02 119.98
Fractional positions:
K1 0.000 0.000 0.000
In1 0.333 0.666 0.000
In2 0.805 0.609 0.414
Hg1 0.572 0.144 0.717
I1 0.074 0.511 0.204
I2 0.241 0.153 0.705
I3 0.437 0.129 0.203
I4 0.552 0.793 0.705
I5 0.693 0.765 0.203
I6 0.912 0.464 0.706

=====

(5)
The following is a computed PXRD pattern of NaInHgI2. It was derived from a structure optimized by DFT (GGA-PBE), using Cu Ka.
Kinematic intensities with the Lorentz-polarization factor, no thermal factor.

Principal peaks in the range 2θ = 10–90°, in order of falling intensity:
| Position (°2θ) | I/Imax |
| --- | --- |
| 27.92 | 100 |
| 29.57 | 72 |
| 35.01 | 65 |
| 24.00 | 62 |
| 32.09 | 47 |
| 29.91 | 44 |
| 38.72 | 38 |
| 14.42 | 33 |
| 28.55 | 30 |
| 55.65 | 27 |

Structural model:
abc: 9.140 4.651 9.453
angles: 90.00 97.24 90.00
Fractional positions:
Na1 0.143 0.250 0.140
Na2 0.857 0.750 0.860
In1 0.223 0.250 0.653
In2 0.777 0.750 0.347
Hg1 0.497 0.250 0.366
Hg2 0.503 0.750 0.634
I1 0.137 0.750 0.372
I2 0.207 0.750 0.922
I3 0.793 0.250 0.078
I4 0.863 0.250 0.628

=====

(6)
The following is a computed PXRD pattern of Na2InHgI6. It was derived from a structure optimized by DFT (GGA-PBE), using Cu Ka.
Kinematic intensities with the Lorentz-polarization factor, no thermal factor.

Principal peaks in the range 2θ = 10–90°, in order of falling intensity:
| Position (°2θ) | I/Imax |
| --- | --- |
| 25.55 | 100 |
| 33.56 | 62 |
| 15.24 | 62 |
| 39.15 | 41 |
| 30.75 | 25 |
| 44.07 | 22 |
| 65.91 | 14 |
| 52.49 | 13 |
| 48.27 | 13 |
| 47.33 | 13 |

Structural model:
abc: 8.541 8.541 8.541
angles: 55.63 55.63 55.63
Fractional positions:
Na1 0.000 0.000 0.000
Na2 0.495 0.495 0.495
In1 0.805 0.805 0.805
Hg1 0.300 0.300 0.300
I1 0.063 0.438 0.687
I2 0.182 0.918 0.580
I3 0.438 0.687 0.063
I4 0.580 0.182 0.918
I5 0.687 0.063 0.438
I6 0.918 0.580 0.182

=====

(7)
The following is a computed PXRD pattern of In2HgIO8. It was derived from a structure optimized by DFT (GGA-PBE), using Cu Ka.
Kinematic intensities with the Lorentz-polarization factor, no thermal factor.

Principal peaks in the range 2θ = 10–90°, in order of falling intensity:
| Position (°2θ) | I/Imax |
| --- | --- |
| 32.06 | 100 |
| 25.32 | 58 |
| 26.61 | 50 |
| 49.13 | 20 |
| 48.98 | 19 |
| 50.60 | 18 |
| 50.45 | 18 |
| 36.93 | 14 |
| 37.18 | 13 |
| 63.47 | 11 |

Structural model:
abc: 4.842 6.826 4.874
angles: 90.00 92.79 90.00
Fractional positions:
In1 0.000 0.248 0.000
In2 0.000 0.752 0.000
Hg1 0.500 0.500 0.500
I1 0.500 0.000 0.500
O1 0.193 0.500 0.183
O2 0.220 0.000 0.202
O3 0.308 0.205 0.677
O4 0.308 0.795 0.677
O5 0.692 0.205 0.323
O6 0.692 0.795 0.323
O7 0.780 0.000 0.798
O8 0.807 0.500 0.817

=====

(8)
The following is a computed PXRD pattern of InSnHgI4. It was derived from a structure optimized by DFT (GGA-PBE), using Cu Ka.
Kinematic intensities with the Lorentz-polarization factor, no thermal factor.

Principal peaks in the range 2θ = 10–90°, in order of falling intensity:
| Position (°2θ) | I/Imax |
| --- | --- |
| 16.85 | 100 |
| 22.10 | 61 |
| 27.95 | 58 |
| 34.07 | 52 |
| 24.18 | 52 |
| 40.14 | 46 |
| 31.75 | 43 |
| 23.58 | 41 |
| 34.75 | 40 |
| 24.09 | 38 |

Structural model:
abc: 8.318 8.318 11.881
angles: 107.72 107.72 78.50
Fractional positions:
In1 0.167 0.167 0.301
In2 0.833 0.833 0.699
Sn1 0.316 0.316 0.800
Sn2 0.684 0.684 0.200
Hg1 0.411 0.411 0.095
Hg2 0.589 0.589 0.905
I1 0.015 0.602 0.853
I2 0.062 0.062 0.711
I3 0.339 0.339 0.559
I4 0.398 0.985 0.147
I5 0.602 0.015 0.853
I6 0.661 0.661 0.441
I7 0.938 0.938 0.289
I8 0.985 0.398 0.147